Record 1
For InPd3Pt, a cell relaxed with PBE gives the computed powder diffractogram in this record (Cu Kα, 1.54184 Å).
Lines closer than 0.1° are merged.

Top 10 peaks for 10 to 90 degrees two-theta, most intense first:
| index | 2θ/deg | I_rel |
| --- | --- | --- |
| 1 2 1 | 38.70 | 100.0 |
| 2 0 0 | 38.85 | 99.0 |
| 1 1 -2 | 44.41 | 34.5 |
| -1 2 1 | 45.00 | 32.7 |
| 2 1 3 | 45.81 | 30.8 |
| 3 2 1 | 65.70 | 20.7 |
| 3 1 -2 | 78.01 | 18.9 |
| 0 4 2 | 78.69 | 12.5 |
| -3 2 1 | 78.97 | 12.2 |
| 3 3 4 | 79.85 | 12.1 |

Structural model:
a = 4.8819 Å, b = 4.9369 Å, c = 7.4968 Å
α = 71.53°, β = 72.30°, γ = 80.58°
Space group P-1 (No. 2)
Symmetry-distinct sites (fractional):
1 In 0.2498 0.2471 0.2469 x2
2 Pd 0.2472 0.8495 0.0493 x2
3 Pd 0.2496 0.0550 0.6494 x2
4 Pd 0.2522 0.4491 0.8478 x2
5 Pt 0.2537 0.6442 0.4508 x2

Record 2
For InPd6Pt23, a cell relaxed with PBE gives the computed powder diffractogram in this record (Cu Kα, 1.54184 Å).
Lines closer than 0.1° are merged.

Top 10 peaks for 10 to 90 degrees two-theta, most intense first:
| index | 2θ/deg | I_rel |
| --- | --- | --- |
| 2 2 4 | 39.66 | 100.0 |
| 4 0 0 | 46.06 | 32.9 |
| 6 2 4 | 80.94 | 25.5 |
| 4 0 8 | 67.33 | 20.9 |
| 0 0 8 | 46.25 | 16.0 |
| 2 2 12 | 81.21 | 12.2 |
| 4 4 8 | 85.45 | 11.1 |
| 4 4 0 | 67.19 | 10.7 |
| 2 0 2 | 25.29 | 7.7 |
| 0 0 4 | 22.63 | 4.1 |

Structural model:
a = 7.8818 Å, b = 7.8818 Å, c = 15.7038 Å
α = 90.00°, β = 90.00°, γ = 90.00°
Space group I4/mmm (No. 139)
Symmetry-distinct sites (fractional):
1 In 0.0000 0.0000 0.0000 x2
2 Pd 0.0000 0.0000 0.2502 x4
3 Pd 0.2493 0.2493 0.0000 x8
4 Pt 0.0000 0.0000 0.5000 x2
5 Pt 0.0000 0.2531 0.3723 x16
6 Pt 0.0000 0.2570 0.1301 x16
7 Pt 0.0000 0.5000 0.0000 x4
8 Pt 0.2500 0.2500 0.2500 x8

Record 3
For In2Pd2Pt5, a cell relaxed with PBE gives the computed powder diffractogram in this record (Cu Kα, 1.54184 Å).
Lines closer than 0.1° are merged.

Top 10 peaks for 10 to 90 degrees two-theta, most intense first:
| index | 2θ/deg | I_rel |
| --- | --- | --- |
| 2 2 -2 | 42.43 | 100.0 |
| 0 4 0 | 37.72 | 52.4 |
| 0 2 0 | 18.59 | 24.6 |
| 2 6 -2 | 71.30 | 24.0 |
| 6 4 -1 | 54.44 | 20.9 |
| 8 4 -3 | 80.71 | 15.0 |
| 5 1 -1 | 33.51 | 14.4 |
| 6 0 -1 | 37.83 | 10.8 |
| 8 0 -3 | 68.28 | 9.0 |
| 4 2 -4 | 83.70 | 7.2 |

Structural model:
a = 14.5323 Å, b = 9.5462 Å, c = 4.7624 Å
α = 90.00°, β = 109.01°, γ = 90.00°
Space group C2/m (No. 12)
Symmetry-distinct sites (fractional):
1 In 0.0000 0.0000 0.0000 x2
2 In 0.0000 0.5000 0.5000 x2
3 In 0.2498 0.0000 0.1657 x4
4 Pd 0.1414 0.0000 0.5600 x4
5 Pd 0.1423 0.5000 0.2254 x4
6 Pt 0.0501 0.2499 0.2999 x8
7 Pt 0.1487 0.2502 0.8987 x8
8 Pt 0.2500 0.2500 0.5000 x4

Record 4
For In6Pd5Pt, a cell relaxed with PBE gives the computed powder diffractogram in this record (Cu Kα, 1.54184 Å).
Lines closer than 0.1° are merged.

Top 10 peaks for 10 to 90 degrees two-theta, most intense first:
| index | 2θ/deg | I_rel |
| --- | --- | --- |
| 1 2 1 | 38.46 | 100.0 |
| 2 0 -1 | 38.64 | 98.9 |
| 0 4 0 | 55.48 | 22.5 |
| 2 4 -1 | 69.64 | 22.4 |
| 1 2 4 | 69.51 | 11.2 |
| 3 2 0 | 69.71 | 11.2 |
| 1 2 -5 | 69.88 | 11.0 |
| 3 2 -3 | 70.08 | 11.0 |
| 2 0 -4 | 56.01 | 10.9 |
| 2 4 2 | 82.33 | 7.1 |

Structural model:
a = 4.6565 Å, b = 6.6224 Å, c = 7.3666 Å
α = 90.00°, β = 107.89°, γ = 90.00°
Space group P2/m (No. 10)
Symmetry-distinct sites (fractional):
1 In 0.0000 0.2480 0.0000 x2
2 In 0.3348 0.2513 0.6676 x4
3 Pd 0.1638 0.5000 0.3308 x2
4 Pd 0.1696 0.0000 0.3416 x2
5 Pd 0.5000 0.5000 0.0000 x1
6 Pt 0.5000 0.0000 0.0000 x1

Record 5
For In2Sb2Pd7Pt, a cell relaxed with PBE gives the computed powder diffractogram in this record (Cu Kα, 1.54184 Å).
Lines closer than 0.1° are merged.

Top 10 peaks for 10 to 90 degrees two-theta, most intense first:
| index | 2θ/deg | I_rel |
| --- | --- | --- |
| 2 2 -1 | 46.97 | 100.0 |
| 0 0 7 | 41.02 | 62.3 |
| 0 2 3 | 37.36 | 54.2 |
| 0 2 4 | 40.55 | 45.6 |
| 0 0 2 | 11.49 | 42.5 |
| 1 1 5 | 39.25 | 38.0 |
| 2 0 -2 | 33.37 | 37.6 |
| 0 2 5 | 44.38 | 34.8 |
| 1 1 -6 | 40.21 | 33.8 |
| 2 0 2 | 36.56 | 32.8 |

Structural model:
a = 5.4964 Å, b = 5.4501 Å, c = 15.5627 Å
α = 90.00°, β = 98.18°, γ = 90.00°
Space group C2/m (No. 12)
Symmetry-distinct sites (fractional):
1 In 0.1045 0.0000 0.2595 x4
2 Sb 0.1550 0.5000 0.3878 x4
3 Pd 0.0000 0.0000 0.0000 x2
4 Pd 0.1880 0.0000 0.4416 x4
5 Pd 0.1959 0.2499 0.8662 x8
6 Pt 0.0000 0.5000 0.0000 x2

Record 6
For Sr2InPd5Pt2, a cell relaxed with PBE gives the computed powder diffractogram in this record (Cu Kα, 1.54184 Å).
Lines closer than 0.1° are merged.

Top 10 peaks for 10 to 90 degrees two-theta, most intense first:
| index | 2θ/deg | I_rel |
| --- | --- | --- |
| 3 1 1 | 36.20 | 100.0 |
| 3 2 1 | 39.55 | 44.6 |
| 2 1 0 | 19.91 | 29.9 |
| 0 0 2 | 45.09 | 24.0 |
| 4 1 0 | 37.17 | 19.9 |
| 4 0 1 | 42.67 | 18.5 |
| 2 2 1 | 33.81 | 13.2 |
| 3 3 0 | 38.29 | 13.0 |
| 3 1 3 | 77.35 | 10.8 |
| 4 1 2 | 59.81 | 9.7 |

Structural model:
a = 9.9726 Å, b = 9.9726 Å, c = 4.0213 Å
α = 90.00°, β = 90.00°, γ = 90.00°
Space group P4/mbm (No. 127)
Symmetry-distinct sites (fractional):
1 Sr 0.1714 0.3286 0.0000 x4
2 In 0.0000 0.0000 0.0000 x2
3 Pd 0.0000 0.5000 0.5000 x2
4 Pd 0.0628 0.8033 0.5000 x8
5 Pt 0.1259 0.6259 0.0000 x4

Record 7
For Sr2In6PdPt, a cell relaxed with PBE gives the computed powder diffractogram in this record (Cu Kα, 1.54184 Å).
Lines closer than 0.1° are merged.

Top 10 peaks for 10 to 90 degrees two-theta, most intense first:
| index | 2θ/deg | I_rel |
| --- | --- | --- |
| 4 0 0 | 34.19 | 100.0 |
| 4 4 0 | 49.13 | 70.6 |
| 2 0 0 | 16.90 | 51.7 |
| 2 2 2 | 29.49 | 47.9 |
| 8 4 0 | 82.18 | 31.1 |
| 4 2 0 | 38.37 | 26.7 |
| 4 4 4 | 61.21 | 24.0 |
| 2 2 0 | 23.99 | 20.9 |
| 6 2 2 | 58.35 | 19.4 |
| 6 0 0 | 52.32 | 13.6 |

Structural model:
a = 10.4909 Å, b = 10.4909 Å, c = 10.4909 Å
α = 90.00°, β = 90.00°, γ = 90.00°
Space group Fm-3m (No. 225)
Symmetry-distinct sites (fractional):
1 Sr 0.2500 0.2500 0.2500 x8
2 In 0.0000 0.0000 0.2488 x24
3 Pd 0.0000 0.0000 0.0000 x4
4 Pt 0.0000 0.0000 0.5000 x4

Record 8
For ZnInPdPt, a cell relaxed with PBE gives the computed powder diffractogram in this record (Cu Kα, 1.54184 Å).
Lines closer than 0.1° are merged.

Top 10 peaks for 10 to 90 degrees two-theta, most intense first:
| index | 2θ/deg | I_rel |
| --- | --- | --- |
| 1 1 1 | 38.99 | 100.0 |
| 0 0 2 | 42.24 | 19.9 |
| 0 2 0 | 42.73 | 19.3 |
| 1 1 3 | 75.05 | 14.3 |
| 1 3 1 | 75.74 | 13.9 |
| 0 2 2 | 61.64 | 12.8 |
| 2 0 0 | 50.66 | 11.7 |
| 2 2 2 | 83.75 | 10.8 |
| 3 1 1 | 87.41 | 9.8 |
| 2 0 2 | 68.02 | 9.5 |

Structural model:
a = 3.6040 Å, b = 4.2324 Å, c = 4.2795 Å
α = 90.00°, β = 90.00°, γ = 90.00°
Space group Pmmm (No. 47)
Symmetry-distinct sites (fractional):
1 Zn 0.0000 0.0000 0.0000 x1
2 In 0.0000 0.5000 0.5000 x1
3 Pd 0.5000 0.0000 0.5000 x1
4 Pt 0.5000 0.5000 0.0000 x1

Record 9
For PuIn2Pd3, a cell relaxed with PBE gives the computed powder diffractogram in this record (Cu Kα, 1.54184 Å).
Lines closer than 0.1° are merged.

Top 10 peaks for 10 to 90 degrees two-theta, most intense first:
| index | 2θ/deg | I_rel |
| --- | --- | --- |
| 1 0 3 | 37.21 | 100.0 |
| 1 1 0 | 39.08 | 47.3 |
| 2 1 3 | 69.58 | 31.5 |
| 2 0 0 | 56.46 | 16.0 |
| 1 1 6 | 65.84 | 14.6 |
| 1 0 2 | 32.07 | 10.0 |
| 2 0 6 | 79.31 | 8.9 |
| 0 0 6 | 50.73 | 8.5 |
| 1 0 1 | 28.60 | 6.5 |
| 1 1 5 | 58.58 | 6.4 |

Structural model:
a = 3.2597 Å, b = 3.2597 Å, c = 10.7978 Å
α = 90.00°, β = 90.00°, γ = 90.00°
Space group P4/mmm (No. 123)
Symmetry-distinct sites (fractional):
1 Pu 0.0000 0.0000 0.0000 x1
2 In 0.0000 0.0000 0.3426 x2
3 Pd 0.5000 0.5000 0.1939 x2
4 Pd 0.5000 0.5000 0.5000 x1

Record 10
For Pu3InPd3, a cell relaxed with PBE gives the computed powder diffractogram in this record (Cu Kα, 1.54184 Å).
Lines closer than 0.1° are merged.

Top 10 peaks for 10 to 90 degrees two-theta, most intense first:
| index | 2θ/deg | I_rel |
| --- | --- | --- |
| 3 0 1 | 33.13 | 100.0 |
| 3 1 2 | 39.43 | 81.1 |
| 3 1 1 | 34.79 | 41.2 |
| 4 3 1 | 54.73 | 25.8 |
| 2 2 0 | 29.55 | 21.9 |
| 3 0 2 | 37.94 | 21.4 |
| 2 1 1 | 25.51 | 21.0 |
| 4 3 2 | 58.09 | 19.2 |
| 5 3 2 | 67.52 | 18.6 |
| 5 4 0 | 70.51 | 18.6 |

Structural model:
a = 8.5515 Å, b = 8.5515 Å, c = 8.5515 Å
α = 90.00°, β = 90.00°, γ = 90.00°
Space group P2_13 (No. 198)
Symmetry-distinct sites (fractional):
1 Pu 0.0457 0.4543 0.5457 x4
2 Pu 0.1371 0.8629 0.3629 x4
3 Pu 0.1946 0.1946 0.1946 x4
4 In 0.0824 0.5824 0.9176 x4
5 Pd 0.0452 0.2645 0.8418 x12

Record 11
For PuInSbPd, a cell relaxed with PBE gives the computed powder diffractogram in this record (Cu Kα, 1.54184 Å).
Lines closer than 0.1° are merged.

Top 10 peaks for 10 to 90 degrees two-theta, most intense first:
| index | 2θ/deg | I_rel |
| --- | --- | --- |
| 2 2 0 | 35.39 | 100.0 |
| 4 2 2 | 63.54 | 36.3 |
| 4 0 0 | 50.92 | 17.7 |
| 6 2 0 | 85.64 | 16.3 |
| 4 4 0 | 74.88 | 11.3 |
| 1 1 1 | 21.45 | 9.1 |
| 3 1 1 | 41.76 | 5.4 |
| 2 0 0 | 24.82 | 5.1 |
| 3 3 1 | 55.87 | 2.5 |
| 4 2 0 | 57.45 | 2.4 |

Structural model:
a = 7.1736 Å, b = 7.1736 Å, c = 7.1736 Å
α = 90.00°, β = 90.00°, γ = 90.00°
Space group F-43m (No. 216)
Symmetry-distinct sites (fractional):
1 Pu 0.0000 0.0000 0.0000 x4
2 In 0.0000 0.0000 0.5000 x4
3 Sb 0.2500 0.2500 0.7500 x4
4 Pd 0.2500 0.2500 0.2500 x4

Record 12
For RbInPd3, a cell relaxed with PBE gives the computed powder diffractogram in this record (Cu Kα, 1.54184 Å).
Lines closer than 0.1° are merged.

Top 10 peaks for 10 to 90 degrees two-theta, most intense first:
| index | 2θ/deg | I_rel |
| --- | --- | --- |
| 2 0 0 | 34.91 | 100.0 |
| 2 2 0 | 50.20 | 69.8 |
| 1 1 1 | 30.11 | 61.9 |
| 1 0 0 | 17.25 | 40.1 |
| 4 2 0 | 84.24 | 30.7 |
| 3 1 1 | 59.66 | 25.8 |
| 2 2 2 | 62.60 | 23.6 |
| 2 1 0 | 39.19 | 20.0 |
| 1 1 0 | 24.49 | 16.2 |
| 4 0 0 | 73.73 | 10.8 |

Structural model:
a = 5.1403 Å, b = 5.1403 Å, c = 5.1403 Å
α = 90.00°, β = 90.00°, γ = 90.00°
Space group Pm-3m (No. 221)
Symmetry-distinct sites (fractional):
1 Rb 0.0000 0.0000 0.0000 x1
2 In 0.5000 0.5000 0.5000 x1
3 Pd 0.0000 0.5000 0.5000 x3

Record 13
For Ti2InRePd, a cell relaxed with PBE gives the computed powder diffractogram in this record (Cu Kα, 1.54184 Å).
Lines closer than 0.1° are merged.

Top 10 peaks for 10 to 90 degrees two-theta, most intense first:
| index | 2θ/deg | I_rel |
| --- | --- | --- |
| 2 0 0 | 36.81 | 100.0 |
| 1 1 0 | 25.80 | 97.3 |
| 1 1 1 | 32.30 | 82.0 |
| 1 0 1 | 26.48 | 68.3 |
| 2 0 2 | 54.53 | 62.7 |
| 0 0 2 | 38.77 | 43.2 |
| 1 1 2 | 47.16 | 39.3 |
| 2 2 0 | 53.04 | 34.1 |
| 2 2 2 | 67.61 | 32.2 |
| 2 1 1 | 45.92 | 31.4 |

Structural model:
a = 4.8834 Å, b = 4.8834 Å, c = 4.6455 Å
α = 90.00°, β = 90.00°, γ = 90.00°
Space group P4/mmm (No. 123)
Symmetry-distinct sites (fractional):
1 Ti 0.0000 0.5000 0.0000 x2
2 In 0.0000 0.0000 0.0000 x1
3 Re 0.5000 0.5000 0.5000 x1
4 Pd 0.0000 0.0000 0.5000 x1